# 1
This entry pairs a crystal structure of CeFe2 with its computed powder diffraction line list. Radiation: Cu Kα. Structure: DFT lattice parameters and positions (GGA-PBE).
Intensities are scaled so that the largest is 100.

Peak list (7 most intense, 5° ≤ 2θ ≤ 70°, by intensity)
| 2θ (°) | I_rel |
| --- | --- |
| 41.43 | 100 |
| 35.12 | 62 |
| 67.31 | 30 |
| 63.00 | 23 |
| 43.37 | 16 |
| 21.29 | 11 |
| 55.41 | 3 |

Atomic structure:
```
6
Lattice="0.000 3.614 3.614 3.614 0.000 3.614 3.614 3.614 0.000" Properties=species:S:1:pos:R:3 pbc="T T T"
Ce 0.903 0.903 0.903
Ce 6.324 6.324 6.324
Fe 3.614 1.807 1.807
Fe 1.807 3.614 1.807
Fe 1.807 1.807 3.614
Fe 3.614 3.614 3.614
```


# 2
This entry pairs a crystal structure of Ce4Fe with its computed powder diffraction line list. Radiation: Cu Kα. Structure: DFT lattice parameters and positions (GGA-PBE).
Intensities are scaled so that the largest is 100.

Peak list (12 most intense, 5° ≤ 2θ ≤ 70°, by intensity)
| 2θ (°) | I_rel |
| --- | --- |
| 30.27 | 100 |
| 50.48 | 40 |
| 35.10 | 39 |
| 60.00 | 37 |
| 46.12 | 11 |
| 38.36 | 9 |
| 62.96 | 8 |
| 65.14 | 5 |
| 24.62 | 4 |
| 68.68 | 1 |
| 43.34 | 1 |
| 28.95 | 1 |

Atomic structure:
```
10
Lattice="0.000 5.114 5.114 5.114 0.000 5.114 5.114 5.114 0.000" Properties=species:S:1:pos:R:3 pbc="T T T"
Ce 7.781 5.004 5.004
Ce 2.447 2.447 2.447
Ce 5.224 5.224 2.447
Ce 5.224 2.447 5.224
Ce 5.004 7.781 5.004
Ce 5.004 5.004 7.781
Ce 7.781 7.781 7.781
Ce 2.447 5.224 5.224
Fe 3.835 3.835 3.835
Fe 6.392 6.392 6.392
```